1.
Structure and computed XRD peak list of Rb2MnV2Cl2O6 (a DFT-relaxed cell (PBE+U, the Materials Project); Cu Kα, 1.54184 Å).
Peak positions follow from Bragg's law for the DFT cell and can differ from measured ones.

Main lines, low angle first (15 to 90 degrees two-theta):
2θ (°)	d_spacing	I/Imax
23.2	3.834	72.1
25.6	3.483	73.9
27.1	3.286	100.0
29.4	3.041	28.3
29.5	3.026	28.9
31.9	2.806	61.9
32.6	2.744	50.9
41.2	2.190	14.1
46.3	1.962	29.7
55.0	1.670	16.0

Structure:
Lattice parameters (Å, degrees): 10.908 10.908 5.613 104.65 104.65 60.41
Atoms (fractional coordinates):
Rb: 0.126 0.126 0.130
Rb: 0.372 0.371 0.870
Rb: 0.629 0.628 0.130
Rb: 0.874 0.874 0.870
Mn: 0.263 0.737 0.500
Mn: 0.761 0.239 0.500
V: 0.038 0.560 0.278
V: 0.440 0.962 0.722
V: 0.540 0.061 0.318
V: 0.939 0.460 0.682
Cl: 0.033 0.967 0.500
Cl: 0.271 0.729 0.000
Cl: 0.532 0.468 0.500
Cl: 0.771 0.229 0.000
O: 0.033 0.437 0.437
O: 0.063 0.465 0.966
O: 0.174 0.602 0.407
O: 0.295 0.117 0.728
O: 0.385 0.207 0.312
O: 0.398 0.826 0.593
O: 0.535 0.937 0.034
O: 0.563 0.967 0.563
O: 0.676 0.101 0.362
O: 0.793 0.615 0.688
O: 0.883 0.705 0.272
O: 0.899 0.324 0.638

2.
Structure and computed XRD peak list of Rb2MnV2Cl2O6 (a DFT-relaxed cell (PBE+U, the Materials Project); Cu Kα, 1.54184 Å).
Peak positions follow from Bragg's law for the DFT cell and can differ from measured ones.

Main lines, low angle first (15 to 90 degrees two-theta):
2θ (°)	d_spacing	I/Imax
23.2	3.841	93.0
24.8	3.591	43.3
25.8	3.449	100.0
27.2	3.273	49.3
27.7	3.222	75.4
28.9	3.087	23.0
29.5	3.028	47.5
31.7	2.825	31.6
32.8	2.728	27.2
35.1	2.554	33.0

Structure:
Lattice parameters (Å, degrees): 5.515 9.857 10.978 95.27 97.49 95.48
Atoms (fractional coordinates):
Rb: 0.000 0.000 0.000
Rb: 0.046 0.499 0.463
Rb: 0.293 0.779 0.771
Rb: 0.517 0.296 0.170
Mn: 0.403 0.148 0.814
Mn: 0.847 0.035 0.618
V: 0.460 0.211 0.525
V: 0.556 0.716 0.100
V: 0.790 0.004 0.321
V: 0.920 0.567 0.007
Cl: 0.000 0.349 0.060
Cl: 0.087 0.877 0.395
Cl: 0.680 0.795 0.590
Cl: 0.886 0.522 0.794
O: 0.125 0.047 0.751
O: 0.151 0.201 0.506
O: 0.238 0.669 0.054
O: 0.374 0.296 0.886
O: 0.529 0.043 0.913
O: 0.565 0.365 0.485
O: 0.579 0.168 0.679
O: 0.607 0.861 0.207
O: 0.609 0.078 0.438
O: 0.708 0.739 0.974
O: 0.712 0.577 0.146
O: 0.900 0.114 0.231

3.
Structure and computed XRD peak list of Rb2MnV2Cl2O6 (a DFT-relaxed cell (PBE+U, the Materials Project); Cu Kα, 1.54184 Å).
Peak positions follow from Bragg's law for the DFT cell and can differ from measured ones.

Main lines, low angle first (15 to 90 degrees two-theta):
2θ (°)	d_spacing	I/Imax
23.3	3.821	48.9
23.8	3.737	47.0
26.1	3.420	100.0
27.3	3.266	69.7
27.8	3.213	62.1
29.7	3.004	85.8
32.0	2.800	79.6
33.5	2.672	69.2
45.7	1.984	26.4
55.6	1.653	31.0

Structure:
Lattice parameters (Å, degrees): 9.331 9.331 5.345 90.40 90.40 145.06
Atoms (fractional coordinates):
Rb: 0.127 0.873 0.000
Rb: 0.873 0.127 0.000
Mn: 0.523 0.523 0.544
V: 0.301 0.702 0.488
V: 0.702 0.301 0.488
Cl: 0.073 0.073 0.531
Cl: 0.543 0.543 0.065
O: 0.292 0.697 0.179
O: 0.436 0.982 0.600
O: 0.471 0.698 0.592
O: 0.697 0.292 0.179
O: 0.698 0.471 0.592
O: 0.982 0.436 0.600